Record 1
Computed PXRD pattern of K2TlSe2 for Cu Ka, from a PBE-relaxed structure.

Atomic structure:
Lattice parameters (Å, degrees): 9.8244 8.8876 8.3422 90.00 99.64 90.00
Space group P2_1/c (No. 14)
One atom of each set of equivalent atoms:
K  0.0749  0.2259  0.0254 (multiplicity 4)
K  0.3149  0.6572  0.9384 (multiplicity 4)
Tl  0.3765  0.0836  0.8506 (multiplicity 4)
Se  0.1236  0.5498  0.2464 (multiplicity 4)
Se  0.4207  0.1296  0.2198 (multiplicity 4)

Principal peaks in the range 10 to 90 degrees two-theta, most intense first:
2θ 16.32, d 5.431, I 1000, hkl 1 1 -1
2θ 35.52, d 2.527, I 479, hkl 2 3 0
2θ 25.24, d 3.529, I 378, hkl 1 2 1
2θ 14.67, d 6.036, I 330, hkl 0 1 1
2θ 28.17, d 3.168, I 265, hkl 2 2 -1
2θ 34.59, d 2.593, I 264, hkl 3 2 -1
2θ 24.90, d 3.576, I 248, hkl 1 0 2
2θ 38.35, d 2.347, I 218, hkl 1 2 -3

***

Record 2
Computed PXRD pattern of Cs2KGaP2 for Cu Ka, from a PBE-relaxed structure.

Atomic structure:
Lattice parameters (Å, degrees): 7.6701 15.8609 6.7162 90.00 90.00 90.00
Space group Ibam (No. 72)
One atom of each set of equivalent atoms:
Cs  0.2232  0.1734  0.0000 (multiplicity 8)
K  0.0000  0.5000  0.2500 (multiplicity 4)
Ga  0.0000  0.0000  0.2500 (multiplicity 4)
P  0.1764  0.0791  0.5000 (multiplicity 8)

Principal peaks in the range 10 to 90 degrees two-theta, most intense first:
2θ 28.62, d 3.119, I 1000, hkl 1 4 1
2θ 20.85, d 4.261, I 664, hkl 1 2 1
2θ 35.53, d 2.526, I 534, hkl 2 0 2
2θ 25.80, d 3.453, I 421, hkl 2 2 0
2θ 28.87, d 3.092, I 301, hkl 0 2 2
2θ 49.93, d 1.826, I 248, hkl 2 6 2
2θ 12.82, d 6.905, I 232, hkl 1 1 0
2θ 48.16, d 1.889, I 227, hkl 1 4 3

***

Record 3
Computed PXRD pattern of Li3Nb4ZnO12 for Cu Ka, from a PBE-relaxed structure.

Atomic structure:
Lattice parameters (Å, degrees): 5.2486 5.6081 7.6788 95.07 90.09 90.10
Space group P1 (No. 1)
One atom of each set of equivalent atoms:
Li  0.0000  0.0000  0.0000 (multiplicity 1)
Li  0.9997  0.0078  0.4979 (multiplicity 1)
Li  0.4985  0.4899  0.0037 (multiplicity 1)
Nb  0.0034  0.5585  0.2098 (multiplicity 1)
Nb  0.4967  0.0764  0.7168 (multiplicity 1)
Nb  0.5059  0.0535  0.2127 (multiplicity 1)
Nb  0.9971  0.5770  0.7202 (multiplicity 1)
Zn  0.4985  0.5061  0.4935 (multiplicity 1)
O  0.1287  0.5840  0.4575 (multiplicity 1)
O  0.1783  0.8966  0.7619 (multiplicity 1)
O  0.1944  0.2757  0.1399 (multiplicity 1)
O  0.3039  0.7729  0.1429 (multiplicity 1)
O  0.3109  0.3951  0.7647 (multiplicity 1)
O  0.3782  0.0913  0.4565 (multiplicity 1)
O  0.6209  0.0889  0.9588 (multiplicity 1)
O  0.6757  0.4051  0.2675 (multiplicity 1)
O  0.6869  0.7698  0.6358 (multiplicity 1)
O  0.7976  0.2788  0.6413 (multiplicity 1)
O  0.8205  0.9001  0.2640 (multiplicity 1)
O  0.8750  0.5896  0.9601 (multiplicity 1)

Principal peaks in the range 10 to 90 degrees two-theta, most intense first:
2θ 23.26, d 3.825, I 1000, hkl 1 1 0
2θ 32.07, d 2.791, I 686, hkl 1 -1 2
2θ 34.15, d 2.626, I 457, hkl 2 0 0
2θ 47.55, d 1.912, I 322, hkl 2 2 0
2θ 52.14, d 1.754, I 297, hkl 2 2 -2
2θ 61.09, d 1.517, I 136, hkl -3 1 2
2θ 59.87, d 1.545, I 127, hkl 3 -1 2
2θ 39.28, d 2.294, I 123, hkl 1 2 1

***

Record 4
Computed PXRD pattern of CeMnPd6 for Cu Ka, from a PBE-relaxed structure.

Atomic structure:
Lattice parameters (Å, degrees): 4.0809 4.0809 7.9517 90.00 90.00 90.00
Space group P4/mmm (No. 123)
One atom of each set of equivalent atoms:
Ce  0.0000  0.0000  0.0000 (multiplicity 1)
Mn  0.0000  0.0000  0.5000 (multiplicity 1)
Pd  0.0000  0.5000  0.2603 (multiplicity 4)
Pd  0.5000  0.5000  0.0000 (multiplicity 1)
Pd  0.5000  0.5000  0.5000 (multiplicity 1)

Principal peaks in the range 10 to 90 degrees two-theta, most intense first:
2θ 38.55, d 2.335, I 1000, hkl 1 1 2
2θ 44.40, d 2.040, I 336, hkl 2 0 0
2θ 77.81, d 1.227, I 245, hkl 3 1 2
2θ 65.56, d 1.424, I 197, hkl 2 0 4
2θ 45.64, d 1.988, I 150, hkl 0 0 4
2θ 79.60, d 1.204, I 108, hkl 1 1 6
2θ 64.59, d 1.443, I 107, hkl 2 2 0
2θ 82.63, d 1.168, I 103, hkl 2 2 4